[1]
Diffraction record for CsSO4. The XRD peak list is calculated, not measured: it uses a structure optimized by DFT (PBE) and Cu Kα (λ = 1.5418 Å).
Peak positions follow from Bragg's law for the DFT cell and can differ from measured ones.

```
CsSO4
1.0
15.2925 0.0000 0.0000
0.0000 4.9634 0.0000
-8.1574 0.0000 13.5296
Cs S O
8 8 32
direct
0.1240 0.1415 0.2056 Cs
0.1240 0.3585 0.7056 Cs
0.3755 0.7036 0.5428 Cs
0.3755 0.7964 0.0428 Cs
0.6245 0.2036 0.9572 Cs
0.6245 0.2964 0.4572 Cs
0.8760 0.6415 0.2944 Cs
0.8760 0.8585 0.7944 Cs
0.1254 0.2020 0.4518 S
0.1254 0.2980 0.9518 S
0.3746 0.7288 0.2918 S
0.3746 0.7712 0.7918 S
0.6254 0.2288 0.2082 S
0.6254 0.2712 0.7082 S
0.8746 0.7020 0.0482 S
0.8746 0.7980 0.5482 S
0.0354 0.1193 0.3570 O
0.0354 0.3807 0.8570 O
0.1069 0.0283 0.9837 O
0.1069 0.4717 0.4837 O
0.1383 0.0318 0.5364 O
0.1383 0.4682 0.0364 O
0.2187 0.2029 0.4469 O
0.2187 0.2971 0.9469 O
0.2892 0.6252 0.3016 O
0.2892 0.8748 0.8016 O
0.3398 0.5324 0.7245 O
0.3398 0.9676 0.2245 O
0.4053 0.5154 0.2454 O
0.4053 0.9846 0.7454 O
0.4624 0.6947 0.8899 O
0.4624 0.8053 0.3899 O
0.5376 0.1947 0.6101 O
0.5376 0.3053 0.1101 O
0.5947 0.0154 0.2546 O
0.5947 0.4846 0.7546 O
0.6602 0.0324 0.7755 O
0.6602 0.4676 0.2755 O
0.7108 0.1252 0.1984 O
0.7108 0.3748 0.6984 O
0.7813 0.7029 0.0531 O
0.7813 0.7971 0.5531 O
0.8617 0.5318 0.9636 O
0.8617 0.9682 0.4636 O
0.8931 0.5283 0.5163 O
0.8931 0.9717 0.0163 O
0.9646 0.6193 0.1430 O
0.9646 0.8807 0.6430 O
```

Largest 12 diffraction maxima, sorted by position, 10° ≤ 2θ ≤ 90°:
2θ = 17.59°, I = 14, (1 0 2); 2θ = 21.35°, I = 8, (1 1 1); 2θ = 22.49°, I = 100, (2 1 0); 2θ = 25.35°, I = 7, (3 1 -1); 2θ = 26.35°, I = 15, (4 0 -4); 2θ = 27.24°, I = 23, (4 0 0); 2θ = 32.02°, I = 37, (0 1 4); 2θ = 34.73°, I = 13, (3 1 2); 2θ = 35.62°, I = 12, (2 0 4); 2θ = 36.81°, I = 15, (1 0 -6); 2θ = 40.12°, I = 7, (6 1 -4); 2θ = 43.02°, I = 10, (5 0 2)

---

[2]
Diffraction record for CsScS2O8. The XRD peak list is calculated, not measured: it uses a structure optimized by DFT (PBE) and Cu Kα (λ = 1.5418 Å).
Peak positions follow from Bragg's law for the DFT cell and can differ from measured ones.

```
CsScS2O8
1.0
5.2468 0.0000 0.0000
-2.6234 4.5438 0.0000
0.0000 0.0000 8.8716
Cs Sc S O
1 1 2 8
direct
0.0000 0.0000 0.0000 Cs
0.0000 0.0000 0.5000 Sc
0.3333 0.6667 0.7025 S
0.6667 0.3333 0.2975 S
0.1377 0.3624 0.6442 O
0.2247 0.8623 0.6442 O
0.3333 0.6667 0.8668 O
0.3624 0.1377 0.3558 O
0.6376 0.7753 0.6442 O
0.6667 0.3333 0.1332 O
0.7753 0.6376 0.3558 O
0.8623 0.2247 0.3558 O
```

Largest 12 diffraction maxima, sorted by position, 10° ≤ 2θ ≤ 90°:
2θ = 19.54°, I = 47, (1 0 0); 2θ = 21.98°, I = 79, (1 0 1); 2θ = 28.11°, I = 100, (0 1 2); 2θ = 30.22°, I = 13, (0 0 3); 2θ = 34.18°, I = 41, (1 1 0); 2θ = 35.69°, I = 15, (1 1 1); 2θ = 39.93°, I = 14, (1 1 2); 2θ = 44.82°, I = 31, (0 2 2); 2θ = 45.51°, I = 20, (1 0 4); 2θ = 54.15°, I = 14, (1 1 4); 2θ = 57.55°, I = 23, (1 2 2); 2θ = 58.12°, I = 12, (0 2 4)

---

[3]
Diffraction record for CsSbO2. The XRD peak list is calculated, not measured: it uses a structure optimized by DFT (PBE) and Cu Kα (λ = 1.5418 Å).
Peak positions follow from Bragg's law for the DFT cell and can differ from measured ones.

```
CsSbO2
1.0
8.2958 0.0000 0.0000
0.0000 10.1406 0.0000
-3.0257 0.0000 4.8011
Cs Sb O
4 4 8
direct
0.0000 0.1474 0.2500 Cs
0.0000 0.8526 0.7500 Cs
0.5000 0.3526 0.7500 Cs
0.5000 0.6474 0.2500 Cs
0.0000 0.4220 0.7500 Sb
0.0000 0.5780 0.2500 Sb
0.5000 0.0780 0.2500 Sb
0.5000 0.9220 0.7500 Sb
0.1706 0.4566 0.2030 O
0.1706 0.5434 0.7030 O
0.3294 0.0434 0.7970 O
0.3294 0.9566 0.2970 O
0.6706 0.0434 0.7030 O
0.6706 0.9566 0.2030 O
0.8294 0.4566 0.2970 O
0.8294 0.5434 0.7970 O
```

Largest 12 diffraction maxima, sorted by position, 10° ≤ 2θ ≤ 90°:
2θ = 15.35°, I = 16, (1 1 0); 2θ = 25.38°, I = 61, (2 0 0); 2θ = 25.55°, I = 97, (0 2 1); 2θ = 28.25°, I = 100, (2 2 -1); 2θ = 29.33°, I = 33, (1 3 0); 2θ = 32.04°, I = 30, (2 0 -2); 2θ = 37.46°, I = 32, (0 0 2); 2θ = 43.08°, I = 29, (2 2 1); 2θ = 47.71°, I = 16, (1 5 -1); 2θ = 48.20°, I = 20, (4 2 -1); 2θ = 51.77°, I = 18, (2 2 -3); 2θ = 56.28°, I = 27, (3 5 -1)

---

[4]
Diffraction record for CsSbO3. The XRD peak list is calculated, not measured: it uses a structure optimized by DFT (PBE) and Cu Kα (λ = 1.5418 Å).
Peak positions follow from Bragg's law for the DFT cell and can differ from measured ones.

```
CsSbO3
1.0
4.1950 0.0000 0.0000
0.0000 4.1950 0.0000
0.0000 0.0000 4.1950
Cs Sb O
1 1 3
direct
0.0000 0.0000 0.0000 Cs
0.5000 0.5000 0.5000 Sb
0.0000 0.5000 0.5000 O
0.5000 0.0000 0.5000 O
0.5000 0.5000 0.0000 O
```

Largest 9 diffraction maxima, sorted by position, 10° ≤ 2θ ≤ 90°:
2θ = 30.13°, I = 100, (1 1 0); 2θ = 37.12°, I = 2, (1 1 1); 2θ = 43.13°, I = 30, (2 0 0); 2θ = 53.51°, I = 40, (2 1 1); 2θ = 62.64°, I = 19, (2 2 0); 2θ = 71.06°, I = 17, (3 1 0); 2θ = 75.11°, I = 1, (3 1 1); 2θ = 79.08°, I = 6, (2 2 2); 2θ = 86.88°, I = 21, (3 2 1)

---

[5]
Diffraction record for Cs3SbO4. The XRD peak list is calculated, not measured: it uses a structure optimized by DFT (PBE) and Cu Kα (λ = 1.5418 Å).
Peak positions follow from Bragg's law for the DFT cell and can differ from measured ones.

```
Cs3SbO4
1.0
13.1537 0.0000 0.0000
0.0000 9.4630 0.0000
0.0000 0.0000 6.9641
Cs Sb O
12 4 16
direct
0.0819 0.2500 0.1551 Cs
0.1441 0.0069 0.7027 Cs
0.1441 0.4931 0.7027 Cs
0.3559 0.5069 0.2027 Cs
0.3559 0.9931 0.2027 Cs
0.4181 0.7500 0.6551 Cs
0.5819 0.2500 0.3449 Cs
0.6441 0.0069 0.7973 Cs
0.6441 0.4931 0.7973 Cs
0.8559 0.5069 0.2973 Cs
0.8559 0.9931 0.2973 Cs
0.9181 0.7500 0.8449 Cs
0.1142 0.7500 0.2781 Sb
0.3858 0.2500 0.7781 Sb
0.6142 0.7500 0.2219 Sb
0.8858 0.2500 0.7219 Sb
0.0009 0.2500 0.5507 O
0.1122 0.5825 0.1237 O
0.1122 0.9175 0.1237 O
0.2354 0.7500 0.4322 O
0.2646 0.2500 0.9322 O
0.3878 0.0825 0.6237 O
0.3878 0.4175 0.6237 O
0.4991 0.7500 0.0507 O
0.5009 0.2500 0.9493 O
0.6122 0.5825 0.3763 O
0.6122 0.9175 0.3763 O
0.7354 0.7500 0.0678 O
0.7646 0.2500 0.5678 O
0.8878 0.0825 0.8763 O
0.8878 0.4175 0.8763 O
0.9991 0.7500 0.4493 O
```

Largest 12 diffraction maxima, sorted by position, 10° ≤ 2θ ≤ 90°:
2θ = 25.58°, I = 16, (0 0 2); 2θ = 26.50°, I = 100, (2 2 1); 2θ = 27.12°, I = 19, (4 0 0); 2θ = 28.14°, I = 8, (1 1 2); 2θ = 30.05°, I = 11, (4 0 1); 2θ = 37.62°, I = 11, (4 0 2); 2θ = 38.04°, I = 13, (0 4 0); 2θ = 45.64°, I = 13, (6 2 0); 2θ = 47.35°, I = 11, (4 4 0); 2θ = 47.54°, I = 7, (6 2 1); 2θ = 54.57°, I = 8, (4 4 2); 2θ = 61.96°, I = 9, (2 6 1)

---

[6]
Diffraction record for Cs3SbO3. The XRD peak list is calculated, not measured: it uses a structure optimized by DFT (PBE) and Cu Kα (λ = 1.5418 Å).
Peak positions follow from Bragg's law for the DFT cell and can differ from measured ones.

```
Cs3SbO3
1.0
9.3590 0.0000 0.0000
0.0000 9.3590 0.0000
0.0000 0.0000 9.3590
Cs Sb O
12 4 12
direct
0.0134 0.0134 0.0134 Cs
0.2228 0.2772 0.7228 Cs
0.2271 0.7271 0.7729 Cs
0.2729 0.2729 0.2729 Cs
0.2772 0.7228 0.2228 Cs
0.4866 0.9866 0.5134 Cs
0.5134 0.4866 0.9866 Cs
0.7228 0.2228 0.2772 Cs
0.7271 0.7729 0.2271 Cs
0.7729 0.2271 0.7271 Cs
0.7772 0.7772 0.7772 Cs
0.9866 0.5134 0.4866 Cs
0.0014 0.9986 0.4986 Sb
0.4986 0.0014 0.9986 Sb
0.5014 0.5014 0.5014 Sb
0.9986 0.4986 0.0014 Sb
0.0043 0.2060 0.4612 O
0.0388 0.9957 0.7060 O
0.2060 0.4612 0.0043 O
0.2940 0.5388 0.5043 O
0.4612 0.0043 0.2060 O
0.4957 0.7940 0.9612 O
0.5043 0.2940 0.5388 O
0.5388 0.5043 0.2940 O
0.7060 0.0388 0.9957 O
0.7940 0.9612 0.4957 O
0.9612 0.4957 0.7940 O
0.9957 0.7060 0.0388 O
```

Largest 12 diffraction maxima, sorted by position, 10° ≤ 2θ ≤ 90°:
2θ = 26.95°, I = 100, (2 2 0); 2θ = 30.20°, I = 8, (3 0 1); 2θ = 35.90°, I = 6, (3 2 1); 2θ = 38.48°, I = 21, (4 0 0); 2θ = 47.60°, I = 33, (4 2 2); 2θ = 49.67°, I = 6, (5 0 1); 2θ = 53.64°, I = 5, (5 2 1); 2θ = 55.55°, I = 11, (4 4 0); 2θ = 62.79°, I = 12, (6 0 2); 2θ = 71.25°, I = 6, (7 0 1); 2θ = 74.50°, I = 5, (7 2 1); 2θ = 76.11°, I = 11, (6 4 2)